# 1
The following is a simulated X-ray powder pattern of LiFe2OF3. It was derived from a structure optimized by DFT (GGA+U), using CuKα.
No peak broadening, texture or thermal motion is included.

Structure:
```
data_LiFe2OF3
_cell_length_a 6.220
_cell_length_b 6.220
_cell_length_c 8.734
_cell_angle_alpha 90.00
_cell_angle_beta 90.00
_cell_angle_gamma 90.00
_symmetry_space_group_name_H-M 'P 43'
_symmetry_Int_Tables_number 78
_symmetry_space_group_name_Hall 'P 4cw'
loop_
_atom_site_label
_atom_site_type_symbol
_atom_site_fract_x
_atom_site_fract_y
_atom_site_fract_z
_atom_site_occupancy
Li1 Li 0.009 0.243 0.000 1
Fe1 Fe 0.239 0.719 0.897 1
Fe2 Fe 0.252 0.502 0.239 1
O1 O 0.252 0.455 0.005 1
F1 F 0.007 0.758 0.252 1
F2 F 0.021 0.244 0.245 1
F3 F 0.235 0.500 0.494 1
```

Principal peaks in the range 2θ = 15–90°, in order of rising 2θ:
2θ/deg	Rel. int.	(hkl)
22.64	411	1 1 1
28.71	280	2 0 0
28.81	538	1 1 2
33.82	1000	2 1 1
34.00	525	1 0 3
37.03	174	1 1 3
41.04	193	2 2 0
47.38	160	1 3 1
50.92	177	1 3 2
54.20	311	3 2 1
59.44	279	4 0 0
59.67	533	2 2 4


# 2
The following is a simulated X-ray powder pattern of LiMnO2. It was derived from a structure optimized by DFT (GGA+U), using CuKα.
No peak broadening, texture or thermal motion is included.

Structure:
```
data_LiMnO2
_cell_length_a 5.139
_cell_length_b 5.209
_cell_length_c 2.839
_cell_angle_alpha 90.00
_cell_angle_beta 90.00
_cell_angle_gamma 90.00
_symmetry_space_group_name_H-M 'P 21 21 2'
_symmetry_Int_Tables_number 18
_symmetry_space_group_name_Hall 'P 2 2ab'
loop_
_atom_site_label
_atom_site_type_symbol
_atom_site_fract_x
_atom_site_fract_y
_atom_site_fract_z
_atom_site_occupancy
Li1 Li 0.000 0.000 0.231 1
Mn1 Mn 0.000 0.500 0.743 1
O1 O 0.211 0.653 0.243 1
```

Principal peaks in the range 2θ = 15–90°, in order of rising 2θ:
2θ/deg	Rel. int.	(hkl)
24.33	1000	1 1 0
34.44	156	0 2 0
36.03	197	0 1 1
36.14	203	1 0 1
38.76	79	1 2 0
40.21	106	1 1 1
49.85	203	2 2 0
50.78	218	1 2 1
51.04	442	2 1 1
62.73	148	0 3 1
63.42	87	3 0 1
71.26	74	1 1 2


# 3
The following is a simulated X-ray powder pattern of Mg7FeSi4O16. It was derived from a structure optimized by DFT (GGA+U), using CuKα.
No peak broadening, texture or thermal motion is included.

Structure:
```
data_Mg7FeSi4O16
_cell_length_a 4.822
_cell_length_b 6.062
_cell_length_c 10.354
_cell_angle_alpha 89.70
_cell_angle_beta 89.92
_cell_angle_gamma 89.78
_symmetry_space_group_name_H-M 'P -1'
_symmetry_Int_Tables_number 2
_symmetry_space_group_name_Hall '-P 1'
loop_
_atom_site_label
_atom_site_type_symbol
_atom_site_fract_x
_atom_site_fract_y
_atom_site_fract_z
_atom_site_occupancy
Mg1 Mg 0.000 0.000 0.000 1
Mg2 Mg 0.000 0.500 0.000 1
Mg3 Mg 0.011 0.255 0.276 1
Mg4 Mg 0.490 0.249 0.778 1
Mg5 Mg 0.500 0.500 0.500 1
Fe1 Fe 0.500 0.000 0.500 1
Si1 Si 0.074 0.749 0.406 1
Si2 Si 0.425 0.749 0.907 1
O1 O 0.213 0.745 0.554 1
O2 O 0.214 0.966 0.334 1
O3 O 0.229 0.534 0.337 1
O4 O 0.235 0.251 0.092 1
O5 O 0.265 0.254 0.594 1
O6 O 0.276 0.533 0.838 1
O7 O 0.277 0.749 0.053 1
O8 O 0.277 0.966 0.837 1
```

Principal peaks in the range 2θ = 15–90°, in order of rising 2θ:
2θ/deg	Rel. int.	(hkl)
17.13	520	0 0 2
22.65	589	0 1 -2
31.89	1000	1 0 3
35.13	335	1 1 3
35.26	618	-1 1 3
36.00	807	1 2 1
36.12	780	-1 2 1
39.20	392	-1 2 2
39.51	379	1 0 4
51.58	489	-2 2 2
51.72	408	2 -2 2
61.15	417	0 4 0


# 4
The following is a simulated X-ray powder pattern of Ca2MnNbO6. It was derived from a structure optimized by DFT (GGA+U), using CuKα.
No peak broadening, texture or thermal motion is included.

Structure:
```
data_Ca2MnNbO6
_cell_length_a 5.556
_cell_length_b 5.707
_cell_length_c 9.411
_cell_angle_alpha 90.00
_cell_angle_beta 125.61
_cell_angle_gamma 90.00
_symmetry_space_group_name_H-M 'P 1 21/c 1'
_symmetry_Int_Tables_number 14
_symmetry_space_group_name_Hall '-P 2ybc'
loop_
_atom_site_label
_atom_site_type_symbol
_atom_site_fract_x
_atom_site_fract_y
_atom_site_fract_z
_atom_site_occupancy
Ca1 Ca 0.241 0.050 0.250 1
Mn1 Mn 0.500 0.000 0.000 1
Nb1 Nb 0.000 0.000 0.500 1
O1 O 0.146 0.211 0.952 1
O2 O 0.245 0.697 0.953 1
O3 O 0.348 0.030 0.757 1
```

Principal peaks in the range 2θ = 15–90°, in order of rising 2θ:
2θ/deg	Rel. int.	(hkl)
22.33	562	1 1 -1
23.25	230	0 0 2
31.35	506	0 2 0
32.23	467	2 0 -2
32.34	1000	1 1 1
32.58	921	1 1 -3
45.58	668	2 2 -2
47.54	325	0 0 4
56.59	168	1 3 -3
57.38	259	3 1 -1
57.83	249	3 1 -5
58.06	217	0 2 4


# 5
The following is a simulated X-ray powder pattern of MgV2Bi2Pb2O10. It was derived from a structure optimized by DFT (GGA+U), using CuKα.
No peak broadening, texture or thermal motion is included.

Structure:
```
data_MgV2Bi2Pb2O10
_cell_length_a 6.004
_cell_length_b 7.067
_cell_length_c 7.739
_cell_angle_alpha 76.33
_cell_angle_beta 89.86
_cell_angle_gamma 65.11
_symmetry_space_group_name_H-M 'P 1'
_symmetry_Int_Tables_number 1
_symmetry_space_group_name_Hall 'P 1'
loop_
_atom_site_label
_atom_site_type_symbol
_atom_site_fract_x
_atom_site_fract_y
_atom_site_fract_z
_atom_site_occupancy
Mg1 Mg 0.000 0.000 0.000 1
V1 V 0.545 0.907 0.985 1
V2 V 0.870 0.256 0.238 1
Bi1 Bi 0.204 0.585 0.368 1
Bi2 Bi 0.215 0.563 0.834 1
Pb1 Pb 0.534 0.924 0.466 1
Pb2 Pb 0.834 0.322 0.634 1
O1 O 0.018 0.956 0.266 1
O2 O 0.090 0.292 0.379 1
O3 O 0.309 0.836 0.906 1
O4 O 0.405 0.195 0.895 1
O5 O 0.425 0.604 0.592 1
O6 O 0.603 0.787 0.225 1
O7 O 0.612 0.294 0.377 1
O8 O 0.845 0.319 0.001 1
O9 O 0.853 0.835 0.907 1
O10 O 0.966 0.603 0.593 1
```

Principal peaks in the range 2θ = 15–90°, in order of rising 2θ:
2θ/deg	Rel. int.	(hkl)
26.14	573	1 -1 0
26.27	632	1 2 0
27.44	1000	1 1 2
29.76	482	2 1 0
31.01	358	0 1 -2
32.42	263	0 2 2
38.02	132	1 0 -3
43.39	132	2 0 2
43.87	138	0 3 0
44.58	332	-2 1 2
50.79	146	3 3 0
51.41	193	3 2 2


# 6
The following is a simulated X-ray powder pattern of Li2MnF5. It was derived from a structure optimized by DFT (GGA+U), using CuKα.
No peak broadening, texture or thermal motion is included.

Structure:
```
data_Li2MnF5
_cell_length_a 7.581
_cell_length_b 5.485
_cell_length_c 9.472
_cell_angle_alpha 90.00
_cell_angle_beta 90.00
_cell_angle_gamma 90.00
_symmetry_space_group_name_H-M 'P n m a'
_symmetry_Int_Tables_number 62
_symmetry_space_group_name_Hall '-P 2ac 2n'
loop_
_atom_site_label
_atom_site_type_symbol
_atom_site_fract_x
_atom_site_fract_y
_atom_site_fract_z
_atom_site_occupancy
Li1 Li 0.073 0.250 0.223 1
Li2 Li 0.077 0.250 0.934 1
Mn1 Mn 0.183 0.250 0.551 1
F1 F 0.000 0.000 0.500 1
F2 F 0.117 0.250 0.736 1
F3 F 0.131 0.005 0.088 1
F4 F 0.242 0.750 0.862 1
```

Principal peaks in the range 2θ = 15–90°, in order of rising 2θ:
2θ/deg	Rel. int.	(hkl)
18.73	364	0 0 2
22.10	1000	1 1 1
28.63	286	2 1 0
39.88	121	1 0 4
40.45	72	3 1 1
40.61	107	2 2 0
41.76	107	2 2 1
45.08	88	2 2 2
50.02	199	3 2 1
50.21	86	2 2 3
51.00	104	0 1 5
52.39	86	1 3 1


# 7
The following is a simulated X-ray powder pattern of Na3Mn2P2C2O14. It was derived from a structure optimized by DFT (GGA+U), using CuKα.
No peak broadening, texture or thermal motion is included.

Structure:
```
data_Na3Mn2P2C2O14
_cell_length_a 10.210
_cell_length_b 6.573
_cell_length_c 10.366
_cell_angle_alpha 90.00
_cell_angle_beta 119.06
_cell_angle_gamma 90.00
_symmetry_space_group_name_H-M 'P 1 21 1'
_symmetry_Int_Tables_number 4
_symmetry_space_group_name_Hall 'P 2yb'
loop_
_atom_site_label
_atom_site_type_symbol
_atom_site_fract_x
_atom_site_fract_y
_atom_site_fract_z
_atom_site_occupancy
Na1 Na 0.242 0.000 0.241 1
Na2 Na 0.242 0.015 0.745 1
Na3 Na 0.243 0.532 0.747 1
Mn1 Mn 0.344 0.280 0.069 1
Mn2 Mn 0.349 0.277 0.562 1
P1 P 0.424 0.775 0.066 1
P2 P 0.426 0.773 0.571 1
C1 C 0.073 0.268 0.902 1
C2 C 0.075 0.271 0.403 1
O1 O 0.064 0.768 0.181 1
O2 O 0.064 0.772 0.674 1
O3 O 0.139 0.266 0.048 1
O4 O 0.146 0.277 0.549 1
O5 O 0.169 0.265 0.351 1
O6 O 0.175 0.273 0.857 1
O7 O 0.326 0.587 0.045 1
O8 O 0.328 0.587 0.560 1
O9 O 0.329 0.963 0.054 1
O10 O 0.330 0.962 0.560 1
O11 O 0.423 0.267 0.283 1
O12 O 0.426 0.272 0.787 1
O13 O 0.461 0.780 0.934 1
O14 O 0.463 0.779 0.441 1
```

Principal peaks in the range 2θ = 15–90°, in order of rising 2θ:
2θ/deg	Rel. int.	(hkl)
16.75	1000	1 1 0
19.59	330	0 0 2
20.03	336	2 0 -2
21.84	469	1 1 -2
24.22	484	2 1 -2
26.03	711	1 0 2
27.13	893	0 2 0
33.69	357	0 2 2
33.91	649	2 2 0
34.62	549	2 0 -4
37.81	295	4 1 -2
42.48	297	1 3 0


> Number 4 is which compound?

Ca2MnNbO6